Record 1
Starting from a structure optimized by DFT (GGA-PBE), the X-ray powder pattern of Ca2ErPt3 was calculated for CuKα.
Lines closer than 0.1° are merged.

Main lines, in order of falling intensity (10 to 80 degrees two-theta):
d 2.470, 36.38 deg, I 100
d 2.452, 36.65 deg, I 25
d 2.462, 36.49 deg, I 25
d 3.475, 25.64 deg, I 19
d 1.419, 65.82 deg, I 18
d 1.737, 52.69 deg, I 17
d 1.423, 65.61 deg, I 17
d 7.021, 12.61 deg, I 15
d 1.235, 77.27 deg, I 10
d 3.511, 25.37 deg, I 9

Cell lengths 4.9035, 14.7731, 7.0214 Å; angles 90.00, 90.00, 90.00 degrees
Space group Cmmm (No. 65)
One atom of each set of equivalent atoms:
Ca: 0.0000 0.0000 0.0000 x2
Ca: 0.0000 0.0000 0.5000 x2
Ca: 0.0000 0.3337 0.0000 x4
Er: 0.0000 0.3369 0.5000 x4
Pt: 0.0000 0.1734 0.2698 x8
Pt: 0.0000 0.5000 0.2581 x4



Record 2
Starting from a structure optimized by DFT (GGA-PBE), the X-ray powder pattern of CaEr4Rh4 was calculated for CuKα.
Lines closer than 0.1° are merged.

Main lines, in order of falling intensity (10 to 80 degrees two-theta):
d 2.799, 31.97 deg, I 100
d 2.644, 33.91 deg, I 54
d 6.259, 14.15 deg, I 52
d 1.979, 45.85 deg, I 34
d 2.019, 44.88 deg, I 30
d 1.837, 49.62 deg, I 26
d 2.270, 39.72 deg, I 20
d 1.697, 54.04 deg, I 19
d 2.244, 40.18 deg, I 15
d 3.221, 27.70 deg, I 15

Cell lengths 8.8516, 8.8516, 5.5399 Å; angles 90.00, 90.00, 90.00 degrees
Space group P4_2/n (No. 86, origin choice 2)
One atom of each set of equivalent atoms:
Ca: 0.2500 0.2500 0.2500 x2
Er: 0.0773 0.6576 0.1553 x8
Rh: 0.0378 0.6194 0.6556 x8



Please write out number 1 again, unchanged.
Starting from a structure optimized by DFT (GGA-PBE), the X-ray powder pattern of Ca2ErPt3 was calculated for CuKα.
Lines closer than 0.1° are merged.

Main lines, in order of falling intensity (10 to 80 degrees two-theta):
d 2.470, 36.38 deg, I 100
d 2.452, 36.65 deg, I 25
d 2.462, 36.49 deg, I 25
d 3.475, 25.64 deg, I 19
d 1.419, 65.82 deg, I 18
d 1.737, 52.69 deg, I 17
d 1.423, 65.61 deg, I 17
d 7.021, 12.61 deg, I 15
d 1.235, 77.27 deg, I 10
d 3.511, 25.37 deg, I 9

Cell lengths 4.9035, 14.7731, 7.0214 Å; angles 90.00, 90.00, 90.00 degrees
Space group Cmmm (No. 65)
One atom of each set of equivalent atoms:
Ca: 0.0000 0.0000 0.0000 x2
Ca: 0.0000 0.0000 0.5000 x2
Ca: 0.0000 0.3337 0.0000 x4
Er: 0.0000 0.3369 0.5000 x4
Pt: 0.0000 0.1734 0.2698 x8
Pt: 0.0000 0.5000 0.2581 x4



What did the second record say?
Starting from a structure optimized by DFT (GGA-PBE), the X-ray powder pattern of CaEr4Rh4 was calculated for CuKα.
Lines closer than 0.1° are merged.

Main lines, in order of falling intensity (10 to 80 degrees two-theta):
d 2.799, 31.97 deg, I 100
d 2.644, 33.91 deg, I 54
d 6.259, 14.15 deg, I 52
d 1.979, 45.85 deg, I 34
d 2.019, 44.88 deg, I 30
d 1.837, 49.62 deg, I 26
d 2.270, 39.72 deg, I 20
d 1.697, 54.04 deg, I 19
d 2.244, 40.18 deg, I 15
d 3.221, 27.70 deg, I 15

Cell lengths 8.8516, 8.8516, 5.5399 Å; angles 90.00, 90.00, 90.00 degrees
Space group P4_2/n (No. 86, origin choice 2)
One atom of each set of equivalent atoms:
Ca: 0.2500 0.2500 0.2500 x2
Er: 0.0773 0.6576 0.1553 x8
Rh: 0.0378 0.6194 0.6556 x8